No. 1
The following is a theoretical X-ray diffraction stick pattern of Dy2Ga3Ni5. It was derived from a DFT-relaxed cell (GGA-PBE, Alexandria), using λ = 1.5418 Å (Cu Kα).

Cell and atoms:
Cell lengths 9.908, 11.531, 5.557 Å; angles 90.00, 90.00, 90.00 degrees
Space group Ibam (No. 72)
Asymmetric unit:
Dy: 0.234 0.130 0.000 (multiplicity 8)
Ga: 0.000 0.500 0.250 (multiplicity 4)
Ga: 0.103 0.142 0.500 (multiplicity 8)
Ni: 0.000 0.000 0.250 (multiplicity 4)
Ni: 0.000 0.285 0.250 (multiplicity 8)
Ni: 0.161 0.390 0.000 (multiplicity 8)

Main lines, in order of rising 2θ (15° ≤ 2θ ≤ 90°):
| index | d_spacing | 2θ/deg | Rel. int. |
| --- | --- | --- | --- |
| 1 2 1 | 3.710 | 23.99 | 19 |
| 0 4 0 | 2.883 | 31.02 | 21 |
| 0 0 2 | 2.778 | 32.22 | 17 |
| 3 2 1 | 2.547 | 35.24 | 100 |
| 2 4 0 | 2.492 | 36.05 | 70 |
| 4 0 0 | 2.477 | 36.27 | 15 |
| 2 0 2 | 2.423 | 37.10 | 77 |
| 4 1 1 | 2.220 | 40.64 | 16 |
| 0 4 2 | 2.000 | 45.33 | 76 |
| 5 2 1 | 1.776 | 51.46 | 28 |
| 3 6 1 | 1.591 | 57.95 | 21 |
| 3 2 3 | 1.556 | 59.41 | 33 |

No. 2
The following is a theoretical X-ray diffraction stick pattern of Sm3Mg2UN6. It was derived from a DFT-relaxed cell (GGA-PBE, Alexandria), using λ = 1.5418 Å (Cu Kα).

Cell and atoms:
Cell lengths 5.908, 10.269, 5.978 Å; angles 90.00, 108.74, 90.00 degrees
Space group C2/m (No. 12)
Asymmetric unit:
Sm: 0.000 0.000 0.000 (multiplicity 2)
Sm: 0.000 0.328 0.000 (multiplicity 4)
Mg: 0.000 0.166 0.500 (multiplicity 4)
U: 0.000 0.500 0.500 (multiplicity 2)
N: 0.232 0.500 0.270 (multiplicity 4)
N: 0.234 0.344 0.731 (multiplicity 8)

Main lines, in order of rising 2θ (15° ≤ 2θ ≤ 90°):
| index | d_spacing | 2θ/deg | Rel. int. |
| --- | --- | --- | --- |
| 0 2 0 | 5.135 | 17.27 | 13 |
| 1 1 0 | 4.913 | 18.05 | 25 |
| 1 1 -1 | 4.371 | 20.32 | 22 |
| 0 2 1 | 3.803 | 23.39 | 16 |
| 0 0 2 | 2.831 | 31.61 | 35 |
| 2 0 0 | 2.795 | 32.03 | 100 |
| 1 3 1 | 2.434 | 36.93 | 71 |
| 2 0 -2 | 2.415 | 37.23 | 35 |
| 2 0 2 | 1.731 | 52.89 | 12 |
| 1 3 -3 | 1.722 | 53.19 | 24 |
| 3 3 -1 | 1.707 | 53.69 | 23 |
| 2 0 -4 | 1.467 | 63.42 | 16 |

No. 3
The following is a theoretical X-ray diffraction stick pattern of ReSbOs. It was derived from a DFT-relaxed cell (GGA-PBE, Alexandria), using λ = 1.5418 Å (Cu Kα).

Cell and atoms:
Cell lengths 2.991, 2.991, 11.548 Å; angles 90.00, 90.00, 90.00 degrees
Space group I4mm (No. 107)
Asymmetric unit:
Re: 0.000 0.000 0.000 (multiplicity 2)
Sb: 0.000 0.000 0.681 (multiplicity 2)
Os: 0.000 0.000 0.366 (multiplicity 2)

Main lines, in order of rising 2θ (15° ≤ 2θ ≤ 90°):
| index | d_spacing | 2θ/deg | Rel. int. |
| --- | --- | --- | --- |
| 0 0 2 | 5.774 | 15.35 | 15 |
| 1 0 3 | 2.362 | 38.10 | 100 |
| 1 1 0 | 2.115 | 42.75 | 39 |
| 1 1 2 | 1.986 | 45.68 | 4 |
| 0 0 6 | 1.925 | 47.23 | 11 |
| 1 0 5 | 1.828 | 49.88 | 8 |
| 2 0 0 | 1.496 | 62.05 | 13 |
| 0 0 8 | 1.444 | 64.52 | 5 |
| 1 1 6 | 1.424 | 65.58 | 16 |
| 2 1 3 | 1.264 | 75.19 | 28 |
| 2 0 6 | 1.181 | 81.50 | 9 |
| 1 0 9 | 1.179 | 81.65 | 6 |

No. 4
The following is a theoretical X-ray diffraction stick pattern of CaTbIn6. It was derived from a DFT-relaxed cell (GGA-PBE, Alexandria), using λ = 1.5418 Å (Cu Kα).

Cell and atoms:
Cell lengths 4.680, 4.680, 9.382 Å; angles 90.00, 90.00, 90.00 degrees
Space group P4/mmm (No. 123)
Asymmetric unit:
Ca: 0.000 0.000 0.000 (multiplicity 1)
Tb: 0.000 0.000 0.500 (multiplicity 1)
In: 0.000 0.500 0.252 (multiplicity 4)
In: 0.500 0.500 0.000 (multiplicity 1)
In: 0.500 0.500 0.500 (multiplicity 1)

Main lines, in order of rising 2θ (15° ≤ 2θ ≤ 90°):
| index | d_spacing | 2θ/deg | Rel. int. |
| --- | --- | --- | --- |
| 1 0 1 | 4.188 | 21.22 | 5 |
| 1 1 1 | 3.122 | 28.59 | 3 |
| 1 1 2 | 2.704 | 33.13 | 100 |
| 2 0 0 | 2.342 | 38.44 | 50 |
| 1 1 3 | 2.272 | 39.68 | 2 |
| 2 1 1 | 2.043 | 44.35 | 1 |
| 2 2 0 | 1.656 | 55.49 | 33 |
| 1 1 6 | 1.414 | 66.09 | 13 |
| 3 1 2 | 1.411 | 66.22 | 26 |
| 2 2 4 | 1.352 | 69.53 | 11 |
| 0 0 8 | 1.173 | 82.20 | 2 |
| 4 0 0 | 1.170 | 82.44 | 3 |